Calculated powder diffractogram
Compound: BaCaI4
Radiation: λ = 1.5418 Å (Cu Kα)
Structure: a cell relaxed with PBE
Kinematic intensities with the Lorentz-polarization factor, no thermal factor.

Top 10 peaks for 2θ = 15–90°, by angle:
(2 0 -2), 21.97°, I 153
(1 1 1), 22.73°, I 341
(4 0 0), 23.85°, I 182
(3 1 -1), 26.18°, I 1000
(2 0 2), 26.92°, I 464
(1 1 -3), 36.69°, I 355
(0 2 0), 37.09°, I 207
(6 0 -2), 37.62°, I 168
(5 1 1), 39.08°, I 384
(2 2 2), 46.43°, I 205

Crystal structure
```
data_BaCaI4
_chemical_formula_sum 'Ba2 Ca2 I8'
_cell_length_a 15.3332
_cell_length_b 4.8473
_cell_length_c 8.5262
_cell_angle_alpha 90.00
_cell_angle_beta 103.43
_cell_angle_gamma 90.00
_space_group_name_H-M_alt 'C 1 2/m 1'
_space_group_IT_number 12
loop_
_space_group_symop_operation_xyz
'x,y,z'
'-x,-y,-z'
'-x,y,-z'
'x,-y,z'
'x+1/2,y+1/2,z'
'-x+1/2,-y+1/2,-z'
'-x+1/2,y+1/2,-z'
'x+1/2,-y+1/2,z'
loop_
_atom_site_label
_atom_site_type_symbol
_atom_site_fract_x
_atom_site_fract_y
_atom_site_fract_z
Ba1 Ba 0.0000 0.0000 0.0000
Ca1 Ca 0.0000 0.5000 0.5000
I1 I 0.1152 0.0000 0.4037
I2 I 0.1216 0.5000 0.8549
```

***

Calculated powder diffractogram
Compound: BaCaI4
Radiation: λ = 1.5418 Å (Cu Kα)
Structure: a cell relaxed with PBE
Kinematic intensities with the Lorentz-polarization factor, no thermal factor.

Top 10 peaks for 2θ = 15–90°, by angle:
(2 0 0), 23.57°, I 108
(1 1 -1), 24.16°, I 1000
(1 1 1), 24.31°, I 156
(2 1 -1), 31.75°, I 242
(2 0 2), 31.94°, I 233
(0 1 3), 36.72°, I 264
(0 2 0), 37.19°, I 160
(3 1 1), 41.97°, I 207
(1 2 2), 44.84°, I 121
(4 2 0), 62.46°, I 108

Crystal structure
```
data_BaCaI4
_chemical_formula_sum 'Ba1 Ca1 I4'
_cell_length_a 7.5511
_cell_length_b 4.8338
_cell_length_c 8.5145
_cell_angle_alpha 90.00
_cell_angle_beta 90.81
_cell_angle_gamma 90.00
_space_group_name_H-M_alt 'P 1 2/m 1'
_space_group_IT_number 10
loop_
_space_group_symop_operation_xyz
'x,y,z'
'-x,-y,-z'
'-x,y,-z'
'x,-y,z'
loop_
_atom_site_label
_atom_site_type_symbol
_atom_site_fract_x
_atom_site_fract_y
_atom_site_fract_z
Ba1 Ba 0.0000 0.0000 0.0000
Ca1 Ca 0.0000 0.5000 0.5000
I1 I 0.2283 0.0000 0.3580
I2 I 0.2416 0.5000 0.8073
```

***

Calculated powder diffractogram
Compound: BaCaI4
Radiation: λ = 1.5418 Å (Cu Kα)
Structure: a cell relaxed with PBE
Kinematic intensities with the Lorentz-polarization factor, no thermal factor.

Top 10 peaks for 2θ = 15–90°, by angle:
(2 0 0), 16.01°, I 323
(0 2 1), 24.10°, I 1000
(3 1 0), 25.45°, I 350
(3 1 1), 31.29°, I 425
(0 4 0), 32.33°, I 274
(0 0 2), 36.26°, I 207
(3 3 1), 39.01°, I 412
(4 2 1), 40.74°, I 164
(6 0 0), 49.38°, I 247
(3 7 1), 67.07°, I 232

Crystal structure
```
data_BaCaI4
_chemical_formula_sum 'Ba2 Ca2 I8'
_cell_length_a 11.0627
_cell_length_b 11.0818
_cell_length_c 4.9546
_cell_angle_alpha 90.00
_cell_angle_beta 90.00
_cell_angle_gamma 90.00
_space_group_name_H-M_alt 'C m m m'
_space_group_IT_number 65
_space_group_name_Hall '-C 2 2'
loop_
_atom_site_label
_atom_site_type_symbol
_atom_site_fract_x
_atom_site_fract_y
_atom_site_fract_z
Ba1 Ba 0.0000 0.0000 0.0000
Ca1 Ca 0.0000 0.5000 0.5000
I1 I 0.0000 0.2149 0.5000
I2 I 0.1840 0.5000 0.0000
```

***

Calculated powder diffractogram
Compound: BaCaI2O8
Radiation: λ = 1.5418 Å (Cu Kα)
Structure: a cell relaxed with PBE
Kinematic intensities with the Lorentz-polarization factor, no thermal factor.

Top 10 peaks for 2θ = 15–90°, by angle:
(1 0 4), 24.18°, I 1000
(0 1 5), 27.09°, I 118
(1 1 0), 31.39°, I 513
(0 1 8), 37.32°, I 235
(0 2 4), 40.01°, I 274
(2 -1 9), 48.98°, I 141
(2 0 8), 49.53°, I 134
(2 1 4), 51.72°, I 243
(3 0 0), 55.88°, I 167
(1 1 12), 59.82°, I 206

Crystal structure
```
data_BaCaI2O8
_chemical_formula_sum 'Ba3 Ca3 I6 O24'
_cell_length_a 5.6998
_cell_length_b 5.6998
_cell_length_c 22.0905
_cell_angle_alpha 90.00
_cell_angle_beta 90.00
_cell_angle_gamma 120.00
_space_group_name_H-M_alt 'R -3'
_space_group_IT_number 148
_space_group_name_Hall '-R 3'
loop_
_atom_site_label
_atom_site_type_symbol
_atom_site_fract_x
_atom_site_fract_y
_atom_site_fract_z
Ba1 Ba 0.0000 0.0000 0.0000
Ca1 Ca 0.0000 0.0000 0.5000
I1 I 0.0000 0.0000 0.2362
O1 O 0.0000 0.0000 0.3182
O2 O 0.0043 0.3431 0.5617
```

***

Calculated powder diffractogram
Compound: Ba2CaS2I2
Radiation: λ = 1.5418 Å (Cu Kα)
Structure: a cell relaxed with PBE
Kinematic intensities with the Lorentz-polarization factor, no thermal factor.

Top 10 peaks for 2θ = 15–90°, by angle:
(1 1 0), 23.57°, I 830
(1 0 5), 30.34°, I 1000
(1 1 4), 31.17°, I 284
(2 0 0), 33.57°, I 544
(2 1 5), 45.88°, I 638
(2 2 0), 48.22°, I 190
(3 1 0), 54.34°, I 169
(3 0 5), 58.04°, I 164
(3 2 5), 68.74°, I 180
(4 1 5), 78.71°, I 130

Crystal structure
```
data_Ba2CaS2I2
_chemical_formula_sum 'Ba4 Ca2 S4 I4'
_cell_length_a 5.3384
_cell_length_b 5.3384
_cell_length_c 17.6631
_cell_angle_alpha 90.00
_cell_angle_beta 90.00
_cell_angle_gamma 90.00
_space_group_name_H-M_alt 'I 4/m m m'
_space_group_IT_number 139
_space_group_name_Hall '-I 4 2'
loop_
_atom_site_label
_atom_site_type_symbol
_atom_site_fract_x
_atom_site_fract_y
_atom_site_fract_z
Ba1 Ba 0.0000 0.0000 0.1105
Ca1 Ca 0.0000 0.0000 0.5000
S1 S 0.0000 0.5000 0.0000
I1 I 0.0000 0.0000 0.3152
```

***

Calculated powder diffractogram
Compound: BaCaSbI
Radiation: λ = 1.5418 Å (Cu Kα)
Structure: a cell relaxed with PBE
Kinematic intensities with the Lorentz-polarization factor, no thermal factor.

Top 10 peaks for 2θ = 15–90°, by angle:
(1 0 4), 21.11°, I 410
(1 0 7), 23.78°, I 934
(1 0 10), 27.43°, I 823
(0 1 11), 28.81°, I 207
(1 1 0), 34.46°, I 1000
(0 1 17), 38.22°, I 538
(1 0 19), 41.68°, I 208
(0 2 10), 44.59°, I 214
(2 0 17), 52.40°, I 213
(1 2 17), 64.23°, I 230

Crystal structure
```
data_BaCaSbI
_chemical_formula_sum 'Ba6 Ca6 Sb6 I6'
_cell_length_a 5.2054
_cell_length_b 5.2054
_cell_length_c 46.9471
_cell_angle_alpha 90.00
_cell_angle_beta 90.00
_cell_angle_gamma 120.00
_space_group_name_H-M_alt 'R -3 m'
_space_group_IT_number 166
_space_group_name_Hall '-R 3 2"'
loop_
_atom_site_label
_atom_site_type_symbol
_atom_site_fract_x
_atom_site_fract_y
_atom_site_fract_z
Ba1 Ba 0.0000 0.0000 0.0906
Ca1 Ca 0.0000 0.0000 0.3088
Sb1 Sb 0.0000 0.0000 0.3780
I1 I 0.0000 0.0000 0.2057
```

***

Calculated powder diffractogram
Compound: BaSrCaI6
Radiation: λ = 1.5418 Å (Cu Kα)
Structure: a cell relaxed with PBE
Kinematic intensities with the Lorentz-polarization factor, no thermal factor.

Top 10 peaks for 2θ = 15–90°, by angle:
(1 0 2), 17.14°, I 233
(2 -1 2), 24.62°, I 1000
(1 1 4), 32.26°, I 488
(3 0 0), 37.75°, I 371
(2 -1 6), 42.28°, I 229
(2 2 2), 45.59°, I 164
(4 -2 4), 50.48°, I 125
(5 -1 2), 60.62°, I 121
(3 0 8), 63.12°, I 156
(4 1 4), 64.72°, I 111

Crystal structure
```
data_BaSrCaI6
_chemical_formula_sum 'Ba2 Sr2 Ca2 I12'
_cell_length_a 8.2557
_cell_length_b 8.2557
_cell_length_c 14.9906
_cell_angle_alpha 90.00
_cell_angle_beta 90.00
_cell_angle_gamma 120.00
_space_group_name_H-M_alt 'P -3 1 c'
_space_group_IT_number 163
_space_group_name_Hall '-P 3 2c'
loop_
_atom_site_label
_atom_site_type_symbol
_atom_site_fract_x
_atom_site_fract_y
_atom_site_fract_z
Ba1 Ba 0.0000 0.0000 0.0000
Sr1 Sr 0.3333 0.6667 0.2500
Ca1 Ca 0.3333 0.6667 0.7500
I1 I 0.0132 0.3602 0.6291
```

***

Calculated powder diffractogram
Compound: BaSrCa2I8
Radiation: λ = 1.5418 Å (Cu Kα)
Structure: a cell relaxed with PBE
Kinematic intensities with the Lorentz-polarization factor, no thermal factor.

Top 10 peaks for 2θ = 15–90°, by angle:
(1 0 -1), 16.37°, I 227
(2 0 0), 23.65°, I 165
(1 2 1), 24.58°, I 1000
(1 0 -2), 25.70°, I 327
(1 0 2), 25.81°, I 154
(2 2 -1), 32.12°, I 313
(2 2 1), 32.22°, I 150
(0 4 0), 36.86°, I 190
(0 2 3), 39.30°, I 313
(1 4 -2), 45.49°, I 195

Crystal structure
```
data_BaSrCa2I8
_chemical_formula_sum 'Ba1 Sr1 Ca2 I8'
_cell_length_a 7.5248
_cell_length_b 9.7549
_cell_length_c 7.7914
_cell_angle_alpha 90.00
_cell_angle_beta 90.30
_cell_angle_gamma 90.00
_space_group_name_H-M_alt 'P 1 2/m 1'
_space_group_IT_number 10
loop_
_space_group_symop_operation_xyz
'x,y,z'
'-x,-y,-z'
'-x,y,-z'
'x,-y,z'
loop_
_atom_site_label
_atom_site_type_symbol
_atom_site_fract_x
_atom_site_fract_y
_atom_site_fract_z
Ba1 Ba 0.0000 0.0000 0.0000
Sr1 Sr 0.0000 0.5000 0.0000
Ca1 Ca 0.5000 0.2534 0.5000
I1 I 0.2504 0.2616 0.1715
I2 I 0.2744 0.5000 0.6584
I3 I 0.2802 0.0000 0.6464
```

***

Calculated powder diffractogram
Compound: Ba4CaIn2
Radiation: λ = 1.5418 Å (Cu Kα)
Structure: a cell relaxed with PBE
Kinematic intensities with the Lorentz-polarization factor, no thermal factor.

Top 10 peaks for 2θ = 15–90°, by angle:
(1 0 4), 20.73°, I 209
(1 0 7), 27.14°, I 228
(1 1 0), 29.36°, I 1000
(0 1 8), 29.62°, I 712
(0 2 7), 40.46°, I 170
(2 0 8), 42.19°, I 267
(3 0 0), 52.06°, I 196
(1 2 8), 52.23°, I 283
(1 1 15), 55.76°, I 204
(4 1 0), 84.17°, I 145

Crystal structure
```
data_Ba4CaIn2
_chemical_formula_sum 'Ba12 Ca3 In6'
_cell_length_a 6.0849
_cell_length_b 6.0849
_cell_length_c 29.4247
_cell_angle_alpha 90.00
_cell_angle_beta 90.00
_cell_angle_gamma 120.00
_space_group_name_H-M_alt 'R -3 m'
_space_group_IT_number 166
_space_group_name_Hall '-R 3 2"'
loop_
_atom_site_label
_atom_site_type_symbol
_atom_site_fract_x
_atom_site_fract_y
_atom_site_fract_z
Ba1 Ba 0.0000 0.0000 0.1113
Ba2 Ba 0.0000 0.0000 0.3681
Ca1 Ca 0.0000 0.0000 0.5000
In1 In 0.0000 0.0000 0.2379
```

***

Calculated powder diffractogram
Compound: Ba6Ca2In
Radiation: λ = 1.5418 Å (Cu Kα)
Structure: a cell relaxed with PBE
Kinematic intensities with the Lorentz-polarization factor, no thermal factor.

Top 10 peaks for 2θ = 15–90°, by angle:
(0 2 0), 16.37°, I 221
(2 0 1), 21.61°, I 543
(1 3 0), 25.20°, I 164
(5 1 0), 26.77°, I 158
(4 2 -1), 27.24°, I 1000
(6 0 0), 30.63°, I 243
(2 0 -2), 30.91°, I 671
(3 3 1), 35.77°, I 229
(8 0 -2), 44.04°, I 215
(6 2 -3), 52.72°, I 156

Crystal structure
```
data_Ba6Ca2In
_chemical_formula_sum 'Ba12 Ca4 In2'
_cell_length_a 18.4461
_cell_length_b 10.8266
_cell_length_c 5.7924
_cell_angle_alpha 90.00
_cell_angle_beta 108.29
_cell_angle_gamma 90.00
_space_group_name_H-M_alt 'C 1 2/m 1'
_space_group_IT_number 12
loop_
_space_group_symop_operation_xyz
'x,y,z'
'-x,-y,-z'
'-x,y,-z'
'x,-y,z'
'x+1/2,y+1/2,z'
'-x+1/2,-y+1/2,-z'
'-x+1/2,y+1/2,-z'
'x+1/2,-y+1/2,z'
loop_
_atom_site_label
_atom_site_type_symbol
_atom_site_fract_x
_atom_site_fract_y
_atom_site_fract_z
Ba1 Ba 0.0000 0.1802 0.0000
Ba2 Ba 0.1647 0.2035 0.6645
Ca1 Ca 0.1222 0.5000 0.1212
In1 In 0.0000 0.0000 0.5000
```

***

Calculated powder diffractogram
Compound: BaCa4In2
Radiation: λ = 1.5418 Å (Cu Kα)
Structure: a cell relaxed with PBE
Kinematic intensities with the Lorentz-polarization factor, no thermal factor.

Top 10 peaks for 2θ = 15–90°, by angle:
(1 1 1), 18.57°, I 152
(1 1 2), 20.56°, I 383
(0 2 4), 27.18°, I 521
(0 0 6), 30.70°, I 173
(2 0 0), 31.18°, I 1000
(1 1 5), 31.29°, I 336
(2 2 4), 41.83°, I 158
(2 0 6), 44.32°, I 369
(1 5 4), 53.08°, I 153
(3 3 0), 55.51°, I 304

Crystal structure
```
data_BaCa4In2
_chemical_formula_sum 'Ba4 Ca16 In8'
_cell_length_a 5.7392
_cell_length_b 9.9345
_cell_length_c 17.4753
_cell_angle_alpha 90.00
_cell_angle_beta 90.00
_cell_angle_gamma 90.00
_space_group_name_H-M_alt 'C m c m'
_space_group_IT_number 63
_space_group_name_Hall '-C 2c 2'
loop_
_atom_site_label
_atom_site_type_symbol
_atom_site_fract_x
_atom_site_fract_y
_atom_site_fract_z
Ba1 Ba 0.0000 0.9995 0.2500
Ca1 Ca 0.0000 0.0000 0.0000
Ca2 Ca 0.0000 0.3330 0.1167
Ca3 Ca 0.0000 0.3340 0.7500
In1 In 0.0000 0.3337 0.5742
```

***

Calculated powder diffractogram
Compound: BaCa2In4
Radiation: λ = 1.5418 Å (Cu Kα)
Structure: a cell relaxed with PBE
Kinematic intensities with the Lorentz-polarization factor, no thermal factor.

Top 10 peaks for 2θ = 15–90°, by angle:
(1 0 3), 25.32°, I 239
(1 1 2), 29.51°, I 1000
(1 0 5), 30.29°, I 354
(1 1 4), 32.86°, I 247
(0 1 7), 33.92°, I 817
(0 2 0), 35.43°, I 415
(1 1 6), 37.87°, I 305
(2 0 0), 45.03°, I 207
(2 1 7), 57.54°, I 486
(2 2 0), 58.57°, I 203

Crystal structure
```
data_BaCa2In4
_chemical_formula_sum 'Ba2 Ca4 In8'
_cell_length_a 4.0268
_cell_length_b 5.0672
_cell_length_c 21.6860
_cell_angle_alpha 90.00
_cell_angle_beta 90.00
_cell_angle_gamma 90.00
_space_group_name_H-M_alt 'I m m m'
_space_group_IT_number 71
_space_group_name_Hall '-I 2 2'
loop_
_atom_site_label
_atom_site_type_symbol
_atom_site_fract_x
_atom_site_fract_y
_atom_site_fract_z
Ba1 Ba 0.0000 0.0000 0.0000
Ca1 Ca 0.0000 0.5000 0.1951
In1 In 0.0000 0.0000 0.4269
In2 In 0.0000 0.5000 0.3487
```